Entry 1:
Starting from the PBE geometry in Alexandria, the X-ray diffraction stick pattern of CsRbNbTeRu was calculated for copper Kα.
Lines closer than 0.1° are merged.

Structural model:
Lattice parameters (Å, degrees): 4.4261 4.4271 12.0787 83.76 86.48 60.05
Space group P1 (No. 1)
Unique sites:
Cs 0.0000 0.0000 0.0000 (multiplicity 1)
Rb 0.6528 0.4990 0.5846 (multiplicity 1)
Nb 0.3277 0.2590 0.2580 (multiplicity 1)
Te 0.9914 0.8925 0.3746 (multiplicity 1)
Ru 0.6614 0.5962 0.2447 (multiplicity 1)

Peak list (12 most intense, 2θ from 10° to 90°, sorted by position)
hkl, 2θ (°), d [Å], Rel. int.
0 0 3, 22.2, 4.002, 61
0 1 2, 26.5, 3.365, 30
1 0 2, 27.5, 3.244, 45
0 1 -2, 28.8, 3.099, 28
1 1 -2, 28.9, 3.085, 55
1 1 3, 30.8, 2.908, 40
0 1 3, 30.9, 2.897, 38
1 0 3, 32.2, 2.781, 22
1 0 -3, 32.5, 2.757, 33
1 -1 0, 40.8, 2.210, 100
1 2 0, 41.1, 2.199, 43
3 3 1, 74.2, 1.278, 22

---

Entry 2:
Starting from the PBE geometry in Alexandria, the X-ray diffraction stick pattern of CsRb2NbSe4 was calculated for copper Kα.
Lines closer than 0.1° are merged.

Structural model:
Lattice parameters (Å, degrees): 8.2252 9.5958 14.1670 90.00 90.00 90.00
Space group Imma (No. 74)
Unique sites:
Cs 0.0000 0.0000 0.0000 (multiplicity 4)
Rb 0.0000 0.0000 0.5000 (multiplicity 4)
Rb 0.2500 0.2500 0.2500 (multiplicity 4)
Nb 0.2500 0.2500 0.7500 (multiplicity 4)
Se 0.0000 0.0576 0.7510 (multiplicity 8)
Se 0.2391 0.2500 0.5729 (multiplicity 8)

Peak list (12 most intense, 2θ from 10° to 90°, sorted by position)
hkl, 2θ (°), d [Å], Rel. int.
0 1 1, 11.1, 7.945, 37
0 2 2, 22.4, 3.973, 15
0 0 4, 25.1, 3.542, 40
2 2 0, 28.6, 3.122, 100
2 1 3, 30.3, 2.951, 15
0 4 0, 37.5, 2.399, 17
2 2 4, 38.4, 2.342, 44
0 2 6, 42.7, 2.118, 13
4 0 0, 44.0, 2.056, 16
2 3 5, 48.3, 1.884, 12
4 4 0, 59.2, 1.561, 13
2 4 6, 59.3, 1.557, 15

---

Entry 3:
Starting from the PBE geometry in Alexandria, the X-ray diffraction stick pattern of CsNbTcRu2 was calculated for copper Kα.
Lines closer than 0.1° are merged.

Structural model:
Lattice parameters (Å, degrees): 4.8582 4.8582 4.9147 90.00 90.00 90.00
Space group P4/mmm (No. 123)
Unique sites:
Cs 0.0000 0.0000 0.0000 (multiplicity 1)
Nb 0.5000 0.5000 0.0000 (multiplicity 1)
Tc 0.5000 0.5000 0.5000 (multiplicity 1)
Ru 0.0000 0.5000 0.5000 (multiplicity 2)

Peak list (12 most intense, 2θ from 10° to 90°, sorted by position)
hkl, 2θ (°), d [Å], Rel. int.
1 0 1, 25.8, 3.455, 28
1 1 1, 31.8, 2.816, 100
0 0 2, 36.6, 2.457, 44
2 0 0, 37.0, 2.429, 85
2 1 1, 45.7, 1.987, 12
2 0 2, 53.0, 1.728, 59
2 2 0, 53.3, 1.718, 29
1 1 3, 62.8, 1.479, 14
3 1 1, 63.4, 1.466, 27
2 2 2, 66.4, 1.408, 30
3 1 3, 86.9, 1.121, 11
2 0 4, 89.4, 1.096, 14

---

Entry 4:
Starting from the PBE geometry in Alexandria, the X-ray diffraction stick pattern of CsNb5S8 was calculated for copper Kα.
Lines closer than 0.1° are merged.

Structural model:
Lattice parameters (Å, degrees): 18.0936 3.4298 9.3994 90.00 106.27 90.00
Space group Cm (No. 8)
Unique sites:
Cs 0.0000 0.0000 0.0000 (multiplicity 2)
Nb 0.0190 0.5000 0.5167 (multiplicity 2)
Nb 0.1750 0.0000 0.5217 (multiplicity 2)
Nb 0.2155 0.0000 0.8944 (multiplicity 2)
Nb 0.2943 0.5000 0.1569 (multiplicity 2)
Nb 0.3222 0.5000 0.5237 (multiplicity 2)
S 0.0870 0.0000 0.6937 (multiplicity 2)
S 0.0955 0.5000 0.3434 (multiplicity 2)
S 0.1589 0.5000 0.0204 (multiplicity 2)
S 0.2521 0.5000 0.7110 (multiplicity 2)
S 0.2548 0.0000 0.3362 (multiplicity 2)
S 0.3521 0.0000 0.0342 (multiplicity 2)
S 0.4148 0.0000 0.6701 (multiplicity 2)
S 0.4245 0.5000 0.3692 (multiplicity 2)

Peak list (12 most intense, 2θ from 10° to 90°, sorted by position)
hkl, 2θ (°), d [Å], Rel. int.
0 0 2, 19.7, 4.512, 83
4 0 -1, 20.1, 4.427, 36
1 1 1, 28.8, 3.098, 34
3 1 -1, 30.5, 2.931, 41
3 1 1, 33.3, 2.693, 69
2 0 3, 34.1, 2.627, 35
5 1 0, 36.8, 2.441, 36
3 1 2, 38.8, 2.322, 35
3 1 -3, 39.6, 2.275, 100
6 0 2, 41.5, 2.175, 46
9 1 -1, 52.9, 1.731, 53
0 2 0, 53.4, 1.715, 32

---

Entry 5:
Starting from the PBE geometry in Alexandria, the X-ray diffraction stick pattern of Cs4NbS5 was calculated for copper Kα.
Lines closer than 0.1° are merged.

Structural model:
Lattice parameters (Å, degrees): 10.5041 10.5041 7.0622 90.00 90.00 90.00
Space group I4 (No. 79)
Unique sites:
Cs 0.0953 0.2974 0.0000 (multiplicity 8)
Nb 0.0000 0.0000 0.4225 (multiplicity 2)
S 0.0000 0.0000 0.0994 (multiplicity 2)
S 0.0696 0.2130 0.5080 (multiplicity 8)

Peak list (12 most intense, 2θ from 10° to 90°, sorted by position)
hkl, 2θ (°), d [Å], Rel. int.
2 1 1, 22.7, 3.911, 100
0 0 2, 25.2, 3.531, 40
1 3 0, 26.8, 3.322, 67
1 3 2, 37.2, 2.419, 48
4 2 0, 38.3, 2.349, 19
2 1 3, 43.0, 2.105, 19
5 0 1, 45.0, 2.014, 46
4 2 2, 46.4, 1.955, 20
5 0 3, 58.9, 1.567, 20
1 3 4, 59.3, 1.559, 10
6 3 1, 60.6, 1.529, 13
5 5 2, 68.5, 1.369, 10

---

Entry 6:
Starting from the PBE geometry in Alexandria, the X-ray diffraction stick pattern of Cs2NbS3 was calculated for copper Kα.
Lines closer than 0.1° are merged.

Structural model:
Lattice parameters (Å, degrees): 13.8940 4.1790 14.7084 90.00 90.00 90.00
Space group Pnma (No. 62)
Unique sites:
Cs 0.0223 0.2500 0.1616 (multiplicity 4)
Cs 0.1552 0.2500 0.5490 (multiplicity 4)
Nb 0.2448 0.7500 0.3226 (multiplicity 4)
S 0.0839 0.7500 0.3549 (multiplicity 4)
S 0.1560 0.2500 0.9465 (multiplicity 4)
S 0.2225 0.7500 0.7391 (multiplicity 4)

Peak list (12 most intense, 2θ from 10° to 90°, sorted by position)
hkl, 2θ (°), d [Å], Rel. int.
1 0 3, 19.2, 4.623, 52
3 0 1, 20.1, 4.418, 69
1 1 2, 25.3, 3.515, 100
2 1 1, 25.6, 3.479, 93
2 1 2, 27.7, 3.220, 44
4 0 2, 28.4, 3.141, 61
1 1 3, 28.8, 3.100, 79
2 0 5, 33.1, 2.709, 49
3 1 4, 37.9, 2.371, 42
5 1 1, 39.4, 2.286, 39
0 2 0, 43.3, 2.090, 55
6 1 5, 55.0, 1.669, 54